No. 1
Starting from DFT lattice parameters and positions (PBE), the X-ray powder pattern of Y3Mg3Zn2Ag was calculated for Cu Kα (weighted mean of Kα1 and Kα2).

Principal peaks in the range 2θ = 15–90°, in order of falling intensity:
2θ/deg, d/Å, I/Imax, index
34.80, 2.578, 1000, 2 0 1
31.94, 2.802, 543, 1 1 1
41.14, 2.194, 300, 3 0 0
42.37, 2.133, 286, 2 1 1
23.41, 3.800, 266, 1 1 0
27.09, 3.291, 241, 2 0 0
65.82, 1.419, 235, 3 2 1
43.65, 2.074, 213, 0 0 2
36.10, 2.488, 188, 2 1 0
61.53, 1.507, 173, 3 0 2

Structure:
```
data_Y3Mg3Zn2Ag
_cell_length_a 7.6004
_cell_length_b 7.6004
_cell_length_c 4.1476
_cell_angle_alpha 90.00
_cell_angle_beta 90.00
_cell_angle_gamma 120.00
_symmetry_space_group_name_H-M 'P -6 2 m'
_symmetry_Int_Tables_number 189
_symmetry_space_group_name_Hall 'P -6 -2'
loop_
_atom_site_label
_atom_site_type_symbol
_atom_site_fract_x
_atom_site_fract_y
_atom_site_fract_z
Y1 Y 0.0000 0.5858 0.0000
Mg1 Mg 0.0000 0.2490 0.5000
Zn1 Zn 0.3333 0.6667 0.5000
Ag1 Ag 0.0000 0.0000 0.0000
```


No. 2
Starting from DFT lattice parameters and positions (PBE), the X-ray powder pattern of MgZnAg was calculated for Cu Kα (weighted mean of Kα1 and Kα2).

Principal peaks in the range 2θ = 15–90°, in order of falling intensity:
2θ/deg, d/Å, I/Imax, index
40.40, 2.233, 1000, 2 2 0
28.27, 3.157, 755, 2 0 0
73.47, 1.289, 312, 4 2 2
66.18, 1.412, 245, 4 2 0
50.04, 1.823, 199, 2 2 2
58.46, 1.579, 160, 4 0 0
24.42, 3.646, 138, 1 1 1
87.36, 1.116, 100, 4 4 0
47.77, 1.904, 63, 3 1 1
64.30, 1.449, 25, 3 3 1

Structure:
```
data_MgZnAg
_cell_length_a 6.314
_cell_length_b 6.314
_cell_length_c 6.314
_cell_angle_alpha 90.00
_cell_angle_beta 90.00
_cell_angle_gamma 90.00
_symmetry_space_group_name_H-M 'F -4 3 m'
_symmetry_Int_Tables_number 216
_symmetry_space_group_name_Hall 'F -4 2 3'
loop_
_atom_site_label
_atom_site_type_symbol
_atom_site_fract_x
_atom_site_fract_y
_atom_site_fract_z
Mg1 Mg 0.000 0.000 0.000
Zn1 Zn 0.250 0.250 0.250
Ag1 Ag 0.250 0.250 0.750
```


No. 3
Starting from DFT lattice parameters and positions (PBE), the X-ray powder pattern of NaAgTe2MoSe was calculated for Cu Kα (weighted mean of Kα1 and Kα2).

Principal peaks in the range 2θ = 15–90°, in order of falling intensity:
2θ/deg, d/Å, I/Imax, index
34.15, 2.626, 1000, 1 3 2
34.37, 2.609, 541, 0 0 4
30.64, 2.917, 480, 1 3 1
29.39, 3.039, 430, 1 3 0
41.48, 2.177, 303, 0 6 2
46.19, 1.965, 266, 2 0 0
58.83, 1.570, 220, 2 0 4
53.25, 1.720, 196, 1 3 5
47.08, 1.930, 194, 1 5 3
42.65, 2.120, 193, 1 5 2

Structure:
```
data_NaAgTe2MoSe
_cell_length_a 3.930
_cell_length_b 14.372
_cell_length_c 10.437
_cell_angle_alpha 90.00
_cell_angle_beta 90.00
_cell_angle_gamma 90.00
_symmetry_space_group_name_H-M 'C m c m'
_symmetry_Int_Tables_number 63
_symmetry_space_group_name_Hall '-C 2c 2'
loop_
_atom_site_label
_atom_site_type_symbol
_atom_site_fract_x
_atom_site_fract_y
_atom_site_fract_z
Na1 Na 0.000 0.247 0.250
Ag1 Ag 0.000 0.449 0.750
Te1 Te 0.000 0.360 0.522
Mo1 Mo 0.000 0.000 0.000
Se1 Se 0.000 0.071 0.750
```